Record 1
The following is a theoretical X-ray powder pattern of Li6Mg12Hg. It was derived from a crystal structure in Alexandria, relaxed with PBE, using Cu Kα, 1.54184 Å.

Cell and atoms:
```
data_Li6Mg12Hg
_cell_length_a 10.4557
_cell_length_b 10.4557
_cell_length_c 12.8660
_cell_angle_alpha 90.00
_cell_angle_beta 90.00
_cell_angle_gamma 120.00
_space_group_name_H-M_alt 'R -3'
_space_group_IT_number 148
_space_group_name_Hall '-R 3'
loop_
_atom_site_label
_atom_site_type_symbol
_atom_site_fract_x
_atom_site_fract_y
_atom_site_fract_z
Li1 Li 0.0324 0.4376 0.2020
Mg1 Mg 0.0283 0.1855 0.3165
Mg2 Mg 0.0627 0.8482 0.9117
Hg1 Hg 0.0000 0.0000 0.5000
```

Top 12 peaks for 2θ from 10° to 90°, by angle:
2theta	d/Å	Rel. int.	(hkl)
11.95	7.405	84	1 0 1
16.94	5.234	100	1 1 0
20.79	4.272	46	0 2 1
24.04	3.702	41	2 0 2
26.93	3.310	84	2 1 1
29.53	3.025	24	3 -2 2
36.29	2.475	33	0 1 5
36.42	2.467	66	0 3 3
38.45	2.341	73	3 -1 4
40.40	2.232	27	2 2 3
45.90	1.977	39	4 -3 4
52.38	1.747	15	5 -2 4


Record 2
The following is a theoretical X-ray powder pattern of LiLaBPt6. It was derived from a crystal structure in Alexandria, relaxed with PBE, using Cu Kα, 1.54184 Å.

Cell and atoms:
```
data_LiLaBPt6
_cell_length_a 5.7750
_cell_length_b 9.4147
_cell_length_c 11.3223
_cell_angle_alpha 90.00
_cell_angle_beta 90.00
_cell_angle_gamma 90.00
_space_group_name_H-M_alt 'I m m a'
_space_group_IT_number 74
_space_group_name_Hall '-I 2b 2'
loop_
_atom_site_label
_atom_site_type_symbol
_atom_site_fract_x
_atom_site_fract_y
_atom_site_fract_z
Li1 Li 0.2500 0.2500 0.2500
La1 La 0.0000 0.2500 0.6719
B1 B 0.0000 0.0000 0.0000
Pt1 Pt 0.0000 0.2500 0.4235
Pt2 Pt 0.0000 0.2500 0.9441
Pt3 Pt 0.2472 0.0154 0.3724
```

Top 12 peaks for 2θ from 10° to 90°, by angle:
2theta	d/Å	Rel. int.	(hkl)
31.61	2.831	32	0 0 4
36.51	2.461	100	2 2 0
36.62	2.454	31	1 1 4
37.06	2.426	26	0 2 4
38.24	2.354	43	0 4 0
44.84	2.021	17	2 0 4
45.95	1.975	16	1 3 4
49.05	1.857	41	2 2 4
50.43	1.810	16	0 4 4
67.99	1.379	14	2 6 0
76.88	1.240	15	2 6 4
87.17	1.118	14	2 4 8


Record 3
The following is a theoretical X-ray powder pattern of CaPaI6. It was derived from a crystal structure in Alexandria, relaxed with PBE, using Cu Kα, 1.54184 Å.

Cell and atoms:
```
data_CaPaI6
_cell_length_a 7.7666
_cell_length_b 7.7726
_cell_length_c 8.3687
_cell_angle_alpha 62.39
_cell_angle_beta 62.37
_cell_angle_gamma 60.07
_space_group_name_H-M_alt 'P -1'
_space_group_IT_number 2
loop_
_space_group_symop_operation_xyz
'x,y,z'
'-x,-y,-z'
loop_
_atom_site_label
_atom_site_type_symbol
_atom_site_fract_x
_atom_site_fract_y
_atom_site_fract_z
Ca1 Ca 0.0000 0.0000 0.0000
Pa1 Pa 0.5000 0.5000 0.5000
I1 I 0.0987 0.4133 0.7468
I2 I 0.2589 0.9007 0.2538
I3 I 0.4133 0.7410 0.7469
```

Top 12 peaks for 2θ from 10° to 90°, by angle:
2theta	d/Å	Rel. int.	(hkl)
13.80	6.416	20	0 1 0
15.59	5.682	32	1 1 0
21.34	4.164	11	1 1 2
25.20	3.534	10	0 0 2
26.17	3.405	100	2 1 0
34.30	2.614	45	1 2 3
40.19	2.244	36	3 3 2
45.00	2.015	23	2 1 4
48.59	1.874	17	-2 2 1
53.84	1.703	12	4 2 4
64.81	1.439	10	5 1 1
67.47	1.388	15	3 3 6


Record 4
The following is a theoretical X-ray powder pattern of La9Zn2In3. It was derived from a crystal structure in Alexandria, relaxed with PBE, using Cu Kα, 1.54184 Å.

Cell and atoms:
```
data_La9Zn2In3
_cell_length_a 12.9332
_cell_length_b 14.5511
_cell_length_c 4.9550
_cell_angle_alpha 90.00
_cell_angle_beta 90.10
_cell_angle_gamma 90.00
_space_group_name_H-M_alt 'C 1 2/m 1'
_space_group_IT_number 12
loop_
_space_group_symop_operation_xyz
'x,y,z'
'-x,-y,-z'
'-x,y,-z'
'x,-y,z'
'x+1/2,y+1/2,z'
'-x+1/2,-y+1/2,-z'
'-x+1/2,y+1/2,-z'
'x+1/2,-y+1/2,z'
loop_
_atom_site_label
_atom_site_type_symbol
_atom_site_fract_x
_atom_site_fract_y
_atom_site_fract_z
La1 La 0.0000 0.0000 0.0000
La2 La 0.1315 0.2088 0.0007
La3 La 0.1493 0.3831 0.5002
Zn1 Zn 0.0000 0.1695 0.5000
In1 In 0.0000 0.5000 0.0000
In2 In 0.2482 0.5000 0.0007
```

Top 12 peaks for 2θ from 10° to 90°, by angle:
2theta	d/Å	Rel. int.	(hkl)
20.14	4.409	24	1 1 1
28.11	3.174	39	3 1 1
30.25	2.955	38	4 2 0
30.48	2.932	100	0 4 1
31.51	2.839	27	1 5 0
33.14	2.703	29	3 3 -1
33.18	2.700	26	3 3 1
35.37	2.538	84	4 2 1
36.26	2.478	50	0 0 2
37.25	2.414	29	3 5 0
47.92	1.898	22	4 2 -2
61.41	1.510	22	4 8 1


Record 5
The following is a theoretical X-ray powder pattern of Rb2Hf3PaO12. It was derived from a crystal structure in Alexandria, relaxed with PBE, using Cu Kα, 1.54184 Å.

Cell and atoms:
```
data_Rb2Hf3PaO12
_cell_length_a 7.7647
_cell_length_b 7.7647
_cell_length_c 19.1528
_cell_angle_alpha 90.00
_cell_angle_beta 90.00
_cell_angle_gamma 120.00
_space_group_name_H-M_alt 'R -3 m'
_space_group_IT_number 166
_space_group_name_Hall '-R 3 2"'
loop_
_atom_site_label
_atom_site_type_symbol
_atom_site_fract_x
_atom_site_fract_y
_atom_site_fract_z
Rb1 Rb 0.0000 0.0000 0.1235
Hf1 Hf 0.0000 0.5000 0.0000
Pa1 Pa 0.0000 0.0000 0.5000
O1 O 0.0678 0.5339 0.1065
O2 O 0.0804 0.5402 0.3531
```

Top 12 peaks for 2θ from 10° to 90°, by angle:
2theta	d/Å	Rel. int.	(hkl)
13.94	6.351	69	1 0 1
26.85	3.321	100	0 1 5
26.92	3.312	23	0 2 1
27.95	3.192	20	0 0 6
28.13	3.172	60	2 0 2
42.67	2.119	18	1 2 5
42.76	2.115	21	3 0 3
46.57	1.950	27	2 0 8
46.80	1.941	27	2 2 0
54.76	1.676	14	3 1 5
55.40	1.659	18	2 2 6
65.22	1.430	17	2 3 5


Record 6
The following is a theoretical X-ray powder pattern of TaVCd. It was derived from a crystal structure in Alexandria, relaxed with PBE, using Cu Kα, 1.54184 Å.

Cell and atoms:
```
data_TaVCd
_cell_length_a 4.4135
_cell_length_b 13.9838
_cell_length_c 3.3909
_cell_angle_alpha 90.00
_cell_angle_beta 90.00
_cell_angle_gamma 90.00
_space_group_name_H-M_alt 'C m m m'
_space_group_IT_number 65
_space_group_name_Hall '-C 2 2'
loop_
_atom_site_label
_atom_site_type_symbol
_atom_site_fract_x
_atom_site_fract_y
_atom_site_fract_z
Ta1 Ta 0.0000 0.1758 0.0000
V1 V 0.0000 0.3250 0.5000
Cd1 Cd 0.0000 0.0000 0.5000
Cd2 Cd 0.0000 0.5000 0.0000
```

Top 12 peaks for 2θ from 10° to 90°, by angle:
2theta	d/Å	Rel. int.	(hkl)
21.11	4.209	5	1 1 0
26.28	3.391	8	0 0 1
27.84	3.205	13	1 3 0
29.27	3.051	4	0 2 1
38.65	2.329	100	1 3 1
40.89	2.207	18	2 0 0
54.09	1.695	8	0 0 2
57.51	1.603	13	2 6 0
68.43	1.371	7	0 6 2
69.94	1.345	19	2 0 2
72.98	1.296	12	3 3 1
82.89	1.165	10	2 6 2


Record 7
The following is a theoretical X-ray powder pattern of NbCoGe. It was derived from a crystal structure in Alexandria, relaxed with PBE, using Cu Kα, 1.54184 Å.

Cell and atoms:
```
data_NbCoGe
_cell_length_a 6.3508
_cell_length_b 3.7589
_cell_length_c 7.1776
_cell_angle_alpha 90.00
_cell_angle_beta 90.00
_cell_angle_gamma 90.00
_space_group_name_H-M_alt 'P n m a'
_space_group_IT_number 62
loop_
_space_group_symop_operation_xyz
'x,y,z'
'-x,-y,-z'
'-x+1/2,-y,z+1/2'
'x+1/2,y,-z+1/2'
'x+1/2,-y+1/2,-z+1/2'
'-x+1/2,y+1/2,z+1/2'
'-x,y+1/2,-z'
'x,-y+1/2,z'
loop_
_atom_site_label
_atom_site_type_symbol
_atom_site_fract_x
_atom_site_fract_y
_atom_site_fract_z
Nb1 Nb 0.0216 0.2500 0.1837
Co1 Co 0.1397 0.2500 0.5622
Ge1 Ge 0.2310 0.7500 0.3816
```

Top 12 peaks for 2θ from 10° to 90°, by angle:
2theta	d/Å	Rel. int.	(hkl)
37.06	2.426	15	2 1 0
37.43	2.403	68	1 1 2
37.83	2.378	17	2 0 2
39.20	2.298	100	2 1 1
40.28	2.239	24	1 0 3
44.63	2.030	20	3 0 1
44.91	2.018	38	0 1 3
47.25	1.924	18	1 1 3
48.43	1.879	38	0 2 0
50.02	1.823	18	3 0 2
72.19	1.309	14	3 2 2
73.65	1.286	16	3 1 4


Record 8
The following is a theoretical X-ray powder pattern of Pr7Hg3. It was derived from a crystal structure in Alexandria, relaxed with PBE, using Cu Kα, 1.54184 Å.

Cell and atoms:
```
data_Pr7Hg3
_cell_length_a 10.6440
_cell_length_b 10.6440
_cell_length_c 6.6952
_cell_angle_alpha 90.00
_cell_angle_beta 90.00
_cell_angle_gamma 120.00
_space_group_name_H-M_alt 'P 63 m c'
_space_group_IT_number 186
_space_group_name_Hall 'P 6c -2c'
loop_
_atom_site_label
_atom_site_type_symbol
_atom_site_fract_x
_atom_site_fract_y
_atom_site_fract_z
Pr1 Pr 0.0646 0.5323 0.0000
Pr2 Pr 0.1257 0.2513 0.2593
Pr3 Pr 0.3333 0.6667 0.4092
Hg1 Hg 0.1970 0.3939 0.7046
```

Top 12 peaks for 2θ from 10° to 90°, by angle:
2theta	d/Å	Rel. int.	(hkl)
28.36	3.147	26	1 0 2
28.89	3.091	64	2 1 1
29.06	3.073	23	3 0 0
32.05	2.793	100	3 0 1
33.07	2.709	67	2 0 2
33.68	2.661	53	2 2 0
37.25	2.414	27	2 1 2
47.18	1.926	24	4 1 1
51.41	1.777	16	5 0 1
51.52	1.774	18	3 3 0
60.29	1.535	28	3 2 3
64.66	1.441	24	5 2 1